This entry pairs a crystal structure of Ti6O11 with its computed powder diffraction line list. Radiation: a wavelength of 1.5418 Å. Structure: a cell relaxed with GGA-PBE.

Structure:
```
data_Ti6O11
_cell_length_a 10.0048
_cell_length_b 3.7612
_cell_length_c 21.2227
_cell_angle_alpha 90.00
_cell_angle_beta 93.57
_cell_angle_gamma 90.00
_space_group_name_H-M_alt 'C 1 2/m 1'
_space_group_IT_number 12
_space_group_name_Hall '-C 2y'
loop_
_atom_site_label
_atom_site_type_symbol
_atom_site_fract_x
_atom_site_fract_y
_atom_site_fract_z
Ti1 Ti 0.0304 0.0000 0.1464
Ti2 Ti 0.0682 0.0000 0.4399
Ti3 Ti 0.0993 0.0000 0.2925
Ti4 Ti 0.1375 0.0000 0.9761
Ti5 Ti 0.2101 0.0000 0.6143
Ti6 Ti 0.2345 0.0000 0.8009
O1 O 0.0347 0.0000 0.6461
O2 O 0.0505 0.0000 0.0564
O3 O 0.0521 0.0000 0.7673
O4 O 0.0770 0.5000 0.1553
O5 O 0.1141 0.0000 0.5330
O6 O 0.1143 0.5000 0.4330
O7 O 0.1588 0.0000 0.8811
O8 O 0.1701 0.5000 0.2938
O9 O 0.1766 0.5000 0.9806
O10 O 0.2165 0.0000 0.2090
O11 O 0.2389 0.0000 0.3771
```

The 10 most intense peaks (2θ = 5–70°), by angle:
index, Position (°2θ), intensity
0 0 5, 21.0, 229
1 1 0, 25.3, 1000
2 0 -5, 26.7, 117
2 0 -6, 30.1, 186
2 0 6, 31.9, 146
4 0 1, 36.5, 171
4 0 -4, 38.9, 114
4 0 3, 39.0, 144
2 0 -10, 45.5, 127
0 2 0, 48.4, 353



This entry pairs a crystal structure of Ba2CdS3 with its computed powder diffraction line list. Radiation: a wavelength of 1.5418 Å. Structure: a cell relaxed with GGA-PBE.

Structure:
```
data_Ba2CdS3
_cell_length_a 9.0680
_cell_length_b 4.3956
_cell_length_c 17.5050
_cell_angle_alpha 90.00
_cell_angle_beta 90.00
_cell_angle_gamma 90.00
_space_group_name_H-M_alt 'P n m a'
_space_group_IT_number 62
_space_group_name_Hall '-P 2ac 2n'
loop_
_atom_site_label
_atom_site_type_symbol
_atom_site_fract_x
_atom_site_fract_y
_atom_site_fract_z
Ba1 Ba 0.0806 0.2500 0.2159
Ba2 Ba 0.2347 0.2500 0.9581
Cd1 Cd 0.1211 0.2500 0.6312
S1 S 0.0164 0.2500 0.4035
S2 S 0.1217 0.7500 0.0723
S3 S 0.1812 0.2500 0.7749
```

The 10 most intense peaks (2θ = 5–70°), by angle:
index, Position (°2θ), intensity
2 0 2, 22.1, 483
0 1 3, 25.4, 1000
1 0 5, 27.3, 745
2 1 0, 28.3, 893
2 1 1, 28.7, 483
1 1 4, 30.5, 480
3 0 2, 31.3, 483
1 1 5, 34.2, 478
3 1 1, 36.4, 459
0 2 0, 41.1, 665



This entry pairs a crystal structure of BaReH9 with its computed powder diffraction line list. Radiation: a wavelength of 1.5418 Å. Structure: a cell relaxed with GGA-PBE.

Structure:
```
data_BaReH9
_cell_length_a 5.2541
_cell_length_b 5.2541
_cell_length_c 9.6853
_cell_angle_alpha 90.00
_cell_angle_beta 90.00
_cell_angle_gamma 120.00
_space_group_name_H-M_alt 'P 63/m m c'
_space_group_IT_number 194
_space_group_name_Hall '-P 6c 2c'
loop_
_atom_site_label
_atom_site_type_symbol
_atom_site_fract_x
_atom_site_fract_y
_atom_site_fract_z
Ba1 Ba 0.0000 0.0000 0.0000
Re1 Re 0.3333 0.6667 0.2500
H1 H 0.0664 0.5332 0.1254
H2 H 0.1492 0.2985 0.2500
```

The 10 most intense peaks (2θ = 5–70°), by angle:
index, Position (°2θ), intensity
1 0 1, 21.6, 909
1 0 2, 26.9, 1000
1 1 0, 34.1, 806
0 0 4, 37.1, 140
2 0 1, 40.7, 164
2 0 2, 44.0, 272
1 1 4, 51.3, 431
2 1 1, 54.2, 149
2 1 2, 56.8, 253
3 0 0, 61.1, 208



This entry pairs a crystal structure of AlAuO2 with its computed powder diffraction line list. Radiation: a wavelength of 1.5418 Å. Structure: a cell relaxed with GGA-PBE.

Structure:
```
data_AlAuO2
_cell_length_a 2.9339
_cell_length_b 2.9339
_cell_length_c 12.3771
_cell_angle_alpha 90.00
_cell_angle_beta 90.00
_cell_angle_gamma 120.00
_space_group_name_H-M_alt 'P 63/m m c'
_space_group_IT_number 194
_space_group_name_Hall '-P 6c 2c'
loop_
_atom_site_label
_atom_site_type_symbol
_atom_site_fract_x
_atom_site_fract_y
_atom_site_fract_z
Al1 Al 0.0000 0.0000 0.0000
Au1 Au 0.3333 0.6667 0.2500
O1 O 0.3333 0.6667 0.0766
```

The 10 most intense peaks (2θ = 5–70°), by angle:
index, Position (°2θ), intensity
0 0 2, 14.3, 926
0 0 4, 28.9, 396
1 0 1, 36.1, 1000
1 0 2, 38.3, 339
1 0 3, 41.8, 412
1 0 5, 51.5, 379
1 0 6, 57.6, 148
1 1 0, 63.4, 181
1 0 7, 64.2, 175
1 1 2, 65.4, 132



This entry pairs a crystal structure of CsNaMg6O7 with its computed powder diffraction line list. Radiation: a wavelength of 1.5418 Å. Structure: a cell relaxed with GGA-PBE.

Structure:
```
data_CsNaMg6O7
_cell_length_a 4.6116
_cell_length_b 4.6116
_cell_length_c 9.1019
_cell_angle_alpha 90.00
_cell_angle_beta 90.00
_cell_angle_gamma 90.00
_space_group_name_H-M_alt 'P 4 m m'
_space_group_IT_number 99
_space_group_name_Hall 'P 4 -2'
loop_
_atom_site_label
_atom_site_type_symbol
_atom_site_fract_x
_atom_site_fract_y
_atom_site_fract_z
Cs1 Cs 0.0000 0.0000 0.0000
Na1 Na 0.5000 0.5000 0.0087
Mg1 Mg 0.0000 0.0000 0.5151
Mg2 Mg 0.0000 0.5000 0.2925
Mg3 Mg 0.0000 0.5000 0.7486
Mg4 Mg 0.5000 0.5000 0.5173
O1 O 0.0000 0.0000 0.2993
O2 O 0.0000 0.5000 0.5205
O3 O 0.0000 0.5000 0.9810
O4 O 0.5000 0.5000 0.2892
O5 O 0.5000 0.5000 0.7386
```

The 10 most intense peaks (2θ = 5–70°), by angle:
index, Position (°2θ), intensity
0 0 1, 9.7, 421
0 0 2, 19.5, 297
1 0 1, 21.6, 599
1 0 2, 27.5, 446
1 1 1, 29.1, 295
1 1 2, 33.8, 615
2 0 0, 39.1, 1000
0 0 4, 39.6, 380
2 2 0, 56.4, 306
2 0 4, 56.8, 478



This entry pairs a crystal structure of Ta2Co with its computed powder diffraction line list. Radiation: a wavelength of 1.5418 Å. Structure: a cell relaxed with GGA-PBE.

Structure:
```
data_Ta2Co
_cell_length_a 4.9675
_cell_length_b 4.9675
_cell_length_c 8.9995
_cell_angle_alpha 90.00
_cell_angle_beta 90.00
_cell_angle_gamma 120.00
_space_group_name_H-M_alt 'P 63/m c m'
_space_group_IT_number 193
_space_group_name_Hall '-P 6c 2'
loop_
_atom_site_label
_atom_site_type_symbol
_atom_site_fract_x
_atom_site_fract_y
_atom_site_fract_z
Ta1 Ta 0.0000 0.0000 0.0000
Ta2 Ta 0.0000 0.3477 0.2500
Co1 Co 0.3333 0.6667 0.0000
```

The 10 most intense peaks (2θ = 5–70°), by angle:
index, Position (°2θ), intensity
0 0 2, 19.7, 180
1 0 0, 20.6, 71
1 0 2, 28.7, 169
1 1 1, 37.6, 867
0 0 4, 40.1, 401
1 1 2, 41.5, 1000
2 0 0, 42.0, 46
1 1 3, 47.5, 448
1 1 5, 63.9, 187
3 0 0, 65.0, 278